The following is a simulated X-ray diffraction stick pattern of LiCr2P5O16. It was derived from a cell relaxed with PBE+U, using Cu Ka.
Intensities are scaled so that the largest is 100.

Top 10 peaks for 2θ from 10° to 90°, low angle first:
| h k l | 2theta | I (rel.) |
| --- | --- | --- |
| 1 0 0 | 12.7 | 37.9 |
| 0 1 1 | 13.2 | 20.4 |
| 1 1 -1 | 15.8 | 100.0 |
| 0 0 2 | 18.6 | 29.9 |
| 0 1 2 | 20.9 | 11.8 |
| 1 2 -1 | 22.8 | 13.2 |
| 1 2 1 | 26.4 | 11.3 |
| 2 1 0 | 27.3 | 16.6 |
| 0 1 3 | 29.6 | 24.0 |
| 2 2 -1 | 30.5 | 20.5 |

Atomic structure:
Cell: 7.5017 9.3862 10.2802 Å, 90.00 111.73 90.00°
Positions (direct):
Li1 0.0000 0.2058 0.0000
Li2 0.0000 0.7942 0.5000
Cr1 0.3857 0.1412 0.7989
Cr2 0.3857 0.8588 0.2989
Cr3 0.9345 0.3685 0.3991
Cr4 0.9345 0.6315 0.8991
P1 0.1267 0.4152 0.7357
P2 0.1267 0.5848 0.2357
P3 0.2880 0.1264 0.4638
P4 0.2880 0.8736 0.9638
P5 0.5247 0.4576 0.7743
P6 0.5247 0.5424 0.2743
P7 0.5797 0.2940 0.1358
P8 0.5797 0.7060 0.6358
P9 0.6278 0.1366 0.3929
P10 0.6278 0.8634 0.8929
O1 0.0145 0.4625 0.8236
O2 0.0145 0.5375 0.3236
O3 0.0502 0.4647 0.5842
O4 0.0502 0.5353 0.0842
O5 0.1535 0.2548 0.7547
O6 0.1535 0.7452 0.2547
O7 0.1685 0.2598 0.4163
O8 0.1685 0.7402 0.9163
O9 0.2366 0.0124 0.3493
O10 0.2366 0.9876 0.8493
O11 0.3008 0.0633 0.6039
O12 0.3008 0.9367 0.1039
O13 0.3374 0.4946 0.8057
O14 0.3374 0.5054 0.3057
O15 0.4804 0.2299 0.9957
O16 0.4804 0.7701 0.4957
O17 0.4958 0.4535 0.1318
O18 0.4958 0.5465 0.6318
O19 0.5046 0.2150 0.2454
O20 0.5046 0.7850 0.7454
O21 0.5087 0.1775 0.4858
O22 0.5087 0.8225 0.9858
O23 0.5284 0.3005 0.7446
O24 0.5284 0.6995 0.2446
O25 0.6272 0.0223 0.8661
O26 0.6272 0.9777 0.3661
O27 0.6954 0.4800 0.3891
O28 0.6954 0.5200 0.8891
O29 0.7973 0.2950 0.1956
O30 0.7973 0.7050 0.6956
O31 0.8261 0.1971 0.4591
O32 0.8261 0.8029 0.9591


The following is a simulated X-ray diffraction stick pattern of LiCrPO5. It was derived from a cell relaxed with PBE+U, using Cu Ka.
Intensities are scaled so that the largest is 100.

Top 10 peaks for 2θ from 10° to 90°, low angle first:
| h k l | 2theta | I (rel.) |
| --- | --- | --- |
| 1 0 1 | 18.3 | 32.9 |
| 0 0 2 | 23.9 | 29.1 |
| 0 1 2 | 27.0 | 20.0 |
| 0 2 1 | 27.7 | 100.0 |
| 2 0 0 | 27.9 | 64.0 |
| 1 0 3 | 38.9 | 20.3 |
| -2 1 2 | 39.2 | 14.5 |
| 3 0 1 | 44.2 | 15.6 |
| 3 0 3 | 56.9 | 14.2 |
| 4 0 0 | 57.6 | 21.4 |

Atomic structure:
Cell: 6.3992 7.1304 7.4447 Å, 89.86 89.99 89.97°
Positions (direct):
Li1 0.0000 0.0000 0.0000
Li2 0.0031 0.4995 0.4999
Li3 0.4977 0.4987 0.5008
Li4 0.5012 0.9995 0.9994
Cr1 0.2497 0.1381 0.7284
Cr2 0.2500 0.6402 0.7690
Cr3 0.7509 0.3622 0.2300
Cr4 0.7508 0.8665 0.2722
P1 0.2507 0.3749 0.1257
P2 0.2506 0.8728 0.3743
P3 0.7505 0.1302 0.6262
P4 0.7506 0.6253 0.8729
O1 0.0596 0.3713 0.2537
O2 0.0596 0.8716 0.2469
O3 0.2499 0.0536 0.4884
O4 0.2503 0.1959 0.0037
O5 0.2502 0.5570 0.0137
O6 0.2504 0.6951 0.4960
O7 0.2536 0.8911 0.8234
O8 0.2545 0.3885 0.6815
O9 0.4421 0.3714 0.2533
O10 0.4421 0.8716 0.2473
O11 0.5593 0.1278 0.7517
O12 0.5592 0.6316 0.7440
O13 0.7508 0.0913 0.1761
O14 0.7511 0.3069 0.5033
O15 0.7510 0.4431 0.9820
O16 0.7509 0.6308 0.3201
O17 0.7511 0.8035 0.9943
O18 0.7510 0.9494 0.5090
O19 0.9423 0.1274 0.7518
O20 0.9427 0.6313 0.7439


The following is a simulated X-ray diffraction stick pattern of LiCrPO5. It was derived from a cell relaxed with PBE+U, using Cu Ka.
Intensities are scaled so that the largest is 100.

Top 10 peaks for 2θ from 10° to 90°, low angle first:
| h k l | 2theta | I (rel.) |
| --- | --- | --- |
| 2 0 0 | 19.6 | 100.0 |
| 2 0 1 | 24.1 | 40.8 |
| 0 0 2 | 28.1 | 54.6 |
| 0 2 0 | 28.4 | 53.0 |
| 2 0 2 | 34.5 | 34.7 |
| 2 2 0 | 34.7 | 35.0 |
| 4 1 0 | 42.3 | 28.1 |
| 0 1 3 | 45.2 | 21.3 |
| 4 2 2 | 57.9 | 12.4 |
| 6 2 1 | 70.6 | 15.2 |

Atomic structure:
Cell: 9.0767 6.2924 6.3429 Å, 90.00 90.00 90.00°
Positions (direct):
Li1 0.2365 0.0199 0.0000
Li2 0.2635 0.5199 0.5000
Li3 0.7365 0.4801 0.0000
Li4 0.7635 0.9801 0.5000
Cr1 0.0505 0.7528 0.7312
Cr2 0.4495 0.2528 0.2312
Cr3 0.5505 0.7472 0.7312
Cr4 0.9495 0.2472 0.2312
P1 0.0002 0.2518 0.7320
P2 0.9998 0.7482 0.2320
P3 0.5002 0.2482 0.7320
P4 0.4998 0.7518 0.2320
O1 0.0995 0.7635 0.0349
O2 0.1011 0.4497 0.7201
O3 0.1014 0.7382 0.4277
O4 0.1029 0.0549 0.7450
O5 0.1353 0.2405 0.2219
O6 0.3647 0.7405 0.7219
O7 0.3971 0.5549 0.2450
O8 0.3986 0.2382 0.9277
O9 0.3989 0.9497 0.2201
O10 0.4005 0.2635 0.5349
O11 0.5995 0.7365 0.0349
O12 0.6011 0.0503 0.7201
O13 0.6014 0.7618 0.4277
O14 0.6029 0.4451 0.7450
O15 0.6353 0.2595 0.2219
O16 0.8647 0.7595 0.7219
O17 0.8971 0.9451 0.2450
O18 0.8986 0.2618 0.9277
O19 0.8989 0.5503 0.2201
O20 0.9005 0.2365 0.5349